# 1
This entry pairs a crystal structure of NaLiMnPCO7 with its computed powder X-ray diffraction pattern. Radiation: copper Kα. Structure: a structure optimized by DFT (GGA+U).

Largest 12 diffraction maxima, in order of rising 2θ, 2θ = 10–90°:
17.1 deg, rel. 100.0
19.3 deg, rel. 39.1
19.6 deg, rel. 29.3
21.8 deg, rel. 50.3
24.1 deg, rel. 41.0
25.9 deg, rel. 94.7
28.0 deg, rel. 92.4
33.7 deg, rel. 67.1
34.4 deg, rel. 35.4
34.6 deg, rel. 28.7
43.8 deg, rel. 32.5
53.5 deg, rel. 26.9

abc: 5.318 6.373 8.887
angles: 90.00 91.22 90.00
Space group P2_1 (No. 4)
Symmetry-distinct sites (fractional):
Na 0.223 0.000 0.262 x2
Li 0.234 0.468 0.313 x2
Mn 0.226 0.803 0.855 x2
P 0.297 0.302 0.937 x2
C 0.280 0.763 0.568 x2
O 0.072 0.792 0.647 x2
O 0.182 0.302 0.095 x2
O 0.209 0.493 0.842 x2
O 0.216 0.109 0.841 x2
O 0.264 0.728 0.428 x2
O 0.408 0.807 0.047 x2
O 0.486 0.772 0.648 x2


# 2
This entry pairs a crystal structure of LiV4P3O12 with its computed powder X-ray diffraction pattern. Radiation: copper Kα. Structure: a structure optimized by DFT (GGA+U).

Largest 12 diffraction maxima, in order of rising 2θ, 2θ = 10–90°:
11.8 deg, rel. 100.0
14.5 deg, rel. 74.9
26.6 deg, rel. 15.8
28.7 deg, rel. 83.5
29.5 deg, rel. 34.4
30.5 deg, rel. 21.3
31.9 deg, rel. 47.9
34.1 deg, rel. 40.6
37.0 deg, rel. 43.1
53.7 deg, rel. 16.9
54.8 deg, rel. 16.5
58.1 deg, rel. 21.4

abc: 6.702 14.987 10.277
angles: 90.00 90.00 90.00
Space group Cmc2_1 (No. 36)
Symmetry-distinct sites (fractional):
Li 0.000 0.024 0.000 x4
V 0.000 0.365 0.239 x4
V 0.000 0.372 0.620 x4
V 0.247 0.295 0.927 x8
P 0.000 0.181 0.140 x4
P 0.000 0.189 0.713 x4
P 0.000 0.479 0.888 x4
O 0.000 0.212 0.288 x4
O 0.000 0.219 0.563 x4
O 0.000 0.274 0.064 x4
O 0.000 0.283 0.789 x4
O 0.000 0.422 0.431 x4
O 0.000 0.488 0.736 x4
O 0.183 0.127 0.102 x8
O 0.188 0.139 0.749 x8
O 0.193 0.433 0.938 x8